For Ti6Ga2O, the PBE geometry in Alexandria gives the theoretical powder diffraction line list in this record (Cu Kα).

Main lines, by angle (15 to 90 degrees two-theta):
2θ (°)  Rel. int.
37.97  389
38.48  571
38.92  1000
39.13  478
41.37  765
43.63  408

```
data_Ti6Ga2O
_space_group_name_H-M_alt 'A m m 2'
_space_group_IT_number 38
_cell_length_a 3.062
_cell_length_b 12.139
_cell_length_c 7.250
_cell_angle_alpha 90.00
_cell_angle_beta 90.00
_cell_angle_gamma 90.00
loop_
_space_group_symop_operation_xyz
'x,y,z'
'-x,-y,z'
'-x,y,z'
'x,-y,z'
'x,y+1/2,z+1/2'
'-x,-y+1/2,z+1/2'
'-x,y+1/2,z+1/2'
'x,-y+1/2,z+1/2'
loop_
_atom_site_label
_atom_site_type_symbol
_atom_site_fract_x
_atom_site_fract_y
_atom_site_fract_z
_atom_site_occupancy
Ti1 Ti 0.000 0.000 0.000 1
Ti2 Ti 0.000 0.114 0.629 1
Ti3 Ti 0.500 0.000 0.332 1
Ti4 Ti 0.500 0.198 0.949 1
Ga1 Ga 0.000 0.171 0.248 1
O1 O 0.500 0.000 0.798 1
```